# 1
This entry pairs a crystal structure of Lu2ZrHg with its theoretical PXRD pattern. Radiation: copper Kα. Structure: DFT lattice parameters and positions (PBE).
Neutral-atom scattering factors, no anomalous dispersion.

```
Lu2ZrHg
1.0
3.426 0.000 0.000
0.000 3.426 0.000
0.000 0.000 8.560
Lu Zr Hg
2 1 1
direct
0.000 0.000 0.240
0.000 0.000 0.760
0.500 0.500 0.500
0.500 0.500 0.000
```

The 10 most intense peaks (2θ = 10–90°), by angle:
- 10.33°, rel. 14
- 33.50°, rel. 100
- 37.11°, rel. 38
- 42.23°, rel. 13
- 53.50°, rel. 14
- 57.46°, rel. 21
- 64.61°, rel. 30
- 70.41°, rel. 11
- 71.65°, rel. 10
- 88.65°, rel. 7

***

# 2
This entry pairs a crystal structure of MgHg7 with its theoretical PXRD pattern. Radiation: copper Kα. Structure: DFT lattice parameters and positions (PBE).
Neutral-atom scattering factors, no anomalous dispersion.

```
MgHg7
1.0
13.508 0.000 0.000
0.000 3.750 0.000
-6.094 0.000 7.921
Mg Hg
2 14
direct
0.000 0.000 0.000
0.500 0.500 0.000
0.000 0.000 0.500
0.006 0.500 0.247
0.240 0.500 0.118
0.247 0.000 0.371
0.253 0.500 0.629
0.260 0.000 0.882
0.494 0.000 0.753
0.500 0.500 0.500
0.506 0.000 0.247
0.740 0.000 0.118
0.747 0.500 0.371
0.753 0.000 0.629
0.760 0.500 0.882
0.994 0.500 0.753
```

The 10 most intense peaks (2θ = 10–90°), by angle:
- 31.90°, rel. 100
- 33.48°, rel. 43
- 37.33°, rel. 66
- 37.61°, rel. 32
- 42.79°, rel. 22
- 48.55°, rel. 16
- 55.19°, rel. 21
- 60.26°, rel. 16
- 60.85°, rel. 16
- 62.99°, rel. 15

***

# 3
This entry pairs a crystal structure of Mg5Hg with its theoretical PXRD pattern. Radiation: copper Kα. Structure: DFT lattice parameters and positions (PBE).
Neutral-atom scattering factors, no anomalous dispersion.

```
Mg5Hg
1.0
4.493 0.000 0.000
0.000 13.677 0.000
0.000 0.000 4.307
Mg Hg
10 2
direct
0.000 0.000 0.000
0.000 0.165 0.500
0.000 0.336 0.000
0.000 0.664 0.000
0.000 0.835 0.500
0.500 0.164 0.000
0.500 0.335 0.500
0.500 0.500 0.000
0.500 0.665 0.500
0.500 0.836 0.000
0.000 0.500 0.500
0.500 0.000 0.500
```

The 10 most intense peaks (2θ = 10–90°), by angle:
- 12.95°, rel. 72
- 20.62°, rel. 25
- 20.81°, rel. 50
- 24.42°, rel. 34
- 27.88°, rel. 25
- 29.46°, rel. 43
- 34.93°, rel. 100
- 39.54°, rel. 18
- 40.14°, rel. 17
- 44.09°, rel. 24

***

# 4
This entry pairs a crystal structure of Mg3Hg5 with its theoretical PXRD pattern. Radiation: copper Kα. Structure: DFT lattice parameters and positions (PBE).
Neutral-atom scattering factors, no anomalous dispersion.

```
Mg3Hg5
1.0
8.266 0.000 0.000
0.000 9.433 0.000
0.000 0.000 4.603
Mg Hg
6 10
direct
0.000 0.000 0.000
0.000 0.271 0.500
0.000 0.729 0.500
0.500 0.229 0.500
0.500 0.500 0.000
0.500 0.771 0.500
0.000 0.500 0.000
0.222 0.000 0.500
0.250 0.250 0.000
0.250 0.750 0.000
0.278 0.500 0.500
0.500 0.000 0.000
0.722 0.500 0.500
0.750 0.250 0.000
0.750 0.750 0.000
0.778 0.000 0.500
```

The 10 most intense peaks (2θ = 10–90°), by angle:
- 21.50°, rel. 18
- 24.06°, rel. 13
- 27.07°, rel. 23
- 34.83°, rel. 100
- 38.16°, rel. 20
- 39.14°, rel. 19
- 55.81°, rel. 14
- 66.83°, rel. 15
- 68.15°, rel. 15
- 73.51°, rel. 12

***

# 5
This entry pairs a crystal structure of Mg2Hg with its theoretical PXRD pattern. Radiation: copper Kα. Structure: DFT lattice parameters and positions (PBE).
Neutral-atom scattering factors, no anomalous dispersion.

```
Mg2Hg
1.0
6.693 0.000 0.000
0.000 6.693 0.000
0.000 0.000 6.212
Mg Hg
8 4
direct
0.169 0.331 0.000
0.169 0.669 0.500
0.331 0.169 0.500
0.331 0.831 0.000
0.669 0.169 0.000
0.669 0.831 0.500
0.831 0.331 0.500
0.831 0.669 0.000
0.000 0.000 0.250
0.000 0.000 0.750
0.500 0.500 0.250
0.500 0.500 0.750
```

The 10 most intense peaks (2θ = 10–90°), by angle:
- 18.75°, rel. 100
- 26.64°, rel. 37
- 34.54°, rel. 59
- 38.02°, rel. 23
- 39.59°, rel. 46
- 42.72°, rel. 37
- 48.35°, rel. 18
- 52.30°, rel. 25
- 69.75°, rel. 12
- 76.01°, rel. 14

***

# 6
This entry pairs a crystal structure of Mg3Hg with its theoretical PXRD pattern. Radiation: copper Kα. Structure: DFT lattice parameters and positions (PBE).
Neutral-atom scattering factors, no anomalous dispersion.

```
Mg3Hg
1.0
3.363 0.000 0.000
-1.681 2.912 0.000
0.000 0.000 9.376
Mg Hg
3 1
direct
0.000 0.000 0.000
0.333 0.667 0.265
0.333 0.667 0.735
0.000 0.000 0.500
```

The 10 most intense peaks (2θ = 10–90°), by angle:
- 18.93°, rel. 38
- 30.70°, rel. 50
- 32.19°, rel. 62
- 36.32°, rel. 100
- 38.40°, rel. 16
- 42.43°, rel. 33
- 49.95°, rel. 27
- 54.58°, rel. 18
- 67.34°, rel. 17
- 68.70°, rel. 18

***

# 7
This entry pairs a crystal structure of Mg3Hg8 with its theoretical PXRD pattern. Radiation: copper Kα. Structure: DFT lattice parameters and positions (PBE).
Neutral-atom scattering factors, no anomalous dispersion.

```
Mg3Hg8
1.0
4.921 2.841 3.525
-4.921 2.841 3.525
0.000 -5.683 3.525
Mg Hg
3 8
direct
0.000 0.500 0.500
0.500 0.000 0.500
0.500 0.500 0.000
0.104 0.881 0.317
0.119 0.683 0.896
0.317 0.104 0.881
0.346 0.346 0.346
0.654 0.654 0.654
0.683 0.896 0.119
0.881 0.317 0.104
0.896 0.119 0.683
```

The 10 most intense peaks (2θ = 10–90°), by angle:
- 22.49°, rel. 20
- 28.97°, rel. 100
- 31.21°, rel. 61
- 32.54°, rel. 79
- 35.55°, rel. 25
- 44.92°, rel. 29
- 48.97°, rel. 38
- 55.37°, rel. 21
- 62.44°, rel. 22
- 65.10°, rel. 21

***

# 8
This entry pairs a crystal structure of MgHg2 with its theoretical PXRD pattern. Radiation: copper Kα. Structure: DFT lattice parameters and positions (PBE).
Neutral-atom scattering factors, no anomalous dispersion.

```
MgHg2
1.0
-2.215 2.215 13.980
2.215 -2.215 13.980
2.215 2.215 -13.980
Mg Hg
4 8
direct
0.296 0.546 0.750
0.454 0.704 0.750
0.546 0.296 0.250
0.704 0.454 0.250
0.038 0.788 0.250
0.126 0.376 0.750
0.212 0.962 0.250
0.376 0.126 0.250
0.624 0.874 0.750
0.788 0.038 0.750
0.874 0.624 0.250
0.962 0.212 0.750
```

The 10 most intense peaks (2θ = 10–90°), by angle:
- 20.30°, rel. 22
- 25.66°, rel. 17
- 34.50°, rel. 100
- 38.64°, rel. 18
- 40.74°, rel. 32
- 57.40°, rel. 23
- 58.97°, rel. 11
- 67.28°, rel. 13
- 70.15°, rel. 26
- 72.75°, rel. 11

***

# 9
This entry pairs a crystal structure of Mg3Hg with its theoretical PXRD pattern. Radiation: copper Kα. Structure: DFT lattice parameters and positions (PBE).
Neutral-atom scattering factors, no anomalous dispersion.

```
Mg3Hg
1.0
10.377 0.000 0.000
0.000 3.332 0.000
-1.422 0.000 5.112
Mg Hg
6 2
direct
0.000 0.000 0.000
0.240 0.000 0.743
0.260 0.500 0.257
0.500 0.500 0.000
0.740 0.500 0.743
0.760 0.000 0.257
0.000 0.500 0.500
0.500 0.000 0.500
```

The 10 most intense peaks (2θ = 10–90°), by angle:
- 17.35°, rel. 100
- 17.74°, rel. 93
- 21.27°, rel. 65
- 28.23°, rel. 61
- 32.00°, rel. 46
- 34.60°, rel. 95
- 34.88°, rel. 47
- 35.93°, rel. 43
- 38.20°, rel. 32
- 38.94°, rel. 69

***

# 10
This entry pairs a crystal structure of Mg7Hg with its theoretical PXRD pattern. Radiation: copper Kα. Structure: DFT lattice parameters and positions (PBE).
Neutral-atom scattering factors, no anomalous dispersion.

```
Mg7Hg
1.0
4.420 0.000 0.000
0.000 4.420 0.000
0.000 0.000 18.271
Mg Hg
14 2
direct
0.000 0.000 0.000
0.000 0.000 0.248
0.000 0.000 0.752
0.000 0.500 0.122
0.000 0.500 0.378
0.000 0.500 0.622
0.000 0.500 0.878
0.500 0.000 0.122
0.500 0.000 0.378
0.500 0.000 0.622
0.500 0.000 0.878
0.500 0.500 0.252
0.500 0.500 0.500
0.500 0.500 0.748
0.000 0.000 0.500
0.500 0.500 0.000
```

The 10 most intense peaks (2θ = 10–90°), by angle:
- 19.43°, rel. 21
- 20.68°, rel. 74
- 24.89°, rel. 49
- 30.22°, rel. 29
- 31.77°, rel. 26
- 34.78°, rel. 100
- 40.83°, rel. 32
- 46.19°, rel. 19
- 58.08°, rel. 22
- 70.45°, rel. 25

***

# 11
This entry pairs a crystal structure of Mg3Hg13 with its theoretical PXRD pattern. Radiation: copper Kα. Structure: DFT lattice parameters and positions (PBE).
Neutral-atom scattering factors, no anomalous dispersion.

```
Mg3Hg13
1.0
7.672 0.000 0.000
0.000 4.670 5.582
0.000 -4.670 5.582
Mg Hg
3 13
direct
0.000 0.000 0.000
0.229 0.737 0.737
0.771 0.737 0.737
0.000 0.428 0.938
0.000 0.490 0.490
0.000 0.938 0.428
0.235 0.167 0.675
0.235 0.675 0.167
0.280 0.196 0.196
0.500 0.438 0.438
0.500 0.452 0.876
0.500 0.876 0.452
0.500 0.944 0.944
0.720 0.196 0.196
0.765 0.167 0.675
0.765 0.675 0.167
```

The 10 most intense peaks (2θ = 10–90°), by angle:
- 28.24°, rel. 9
- 32.06°, rel. 30
- 34.25°, rel. 100
- 38.55°, rel. 18
- 47.40°, rel. 10
- 50.99°, rel. 13
- 58.38°, rel. 8
- 58.57°, rel. 13
- 67.00°, rel. 13
- 72.16°, rel. 8

***

# 12
This entry pairs a crystal structure of Mg3Hg with its theoretical PXRD pattern. Radiation: copper Kα. Structure: DFT lattice parameters and positions (PBE).
Neutral-atom scattering factors, no anomalous dispersion.

```
Mg3Hg
1.0
8.409 0.000 0.000
-4.205 7.283 0.000
0.000 0.000 8.702
Mg Hg
18 6
direct
0.000 0.000 0.092
0.000 0.000 0.592
0.000 0.277 0.342
0.000 0.376 0.000
0.000 0.624 0.500
0.000 0.723 0.842
0.277 0.000 0.342
0.277 0.277 0.842
0.333 0.667 0.233
0.333 0.667 0.733
0.376 0.000 0.000
0.376 0.376 0.500
0.624 0.000 0.500
0.624 0.624 0.000
0.667 0.333 0.233
0.667 0.333 0.733
0.723 0.000 0.842
0.723 0.723 0.342
0.000 0.330 0.669
0.000 0.670 0.169
0.330 0.000 0.669
0.330 0.330 0.169
0.670 0.000 0.169
0.670 0.670 0.669
```

The 10 most intense peaks (2θ = 10–90°), by angle:
- 20.41°, rel. 35
- 21.13°, rel. 26
- 23.50°, rel. 100
- 37.03°, rel. 47
- 37.68°, rel. 59
- 42.65°, rel. 36
- 44.33°, rel. 21
- 53.86°, rel. 19
- 59.09°, rel. 19
- 67.16°, rel. 18

***

Please write out number 3 again, unchanged.
This entry pairs a crystal structure of Mg5Hg with its theoretical PXRD pattern. Radiation: copper Kα. Structure: DFT lattice parameters and positions (PBE).
Neutral-atom scattering factors, no anomalous dispersion.

```
Mg5Hg
1.0
4.493 0.000 0.000
0.000 13.677 0.000
0.000 0.000 4.307
Mg Hg
10 2
direct
0.000 0.000 0.000
0.000 0.165 0.500
0.000 0.336 0.000
0.000 0.664 0.000
0.000 0.835 0.500
0.500 0.164 0.000
0.500 0.335 0.500
0.500 0.500 0.000
0.500 0.665 0.500
0.500 0.836 0.000
0.000 0.500 0.500
0.500 0.000 0.500
```

The 10 most intense peaks (2θ = 10–90°), by angle:
- 12.95°, rel. 72
- 20.62°, rel. 25
- 20.81°, rel. 50
- 24.42°, rel. 34
- 27.88°, rel. 25
- 29.46°, rel. 43
- 34.93°, rel. 100
- 39.54°, rel. 18
- 40.14°, rel. 17
- 44.09°, rel. 24

***

Please write out number 7 again, unchanged.
This entry pairs a crystal structure of Mg3Hg8 with its theoretical PXRD pattern. Radiation: copper Kα. Structure: DFT lattice parameters and positions (PBE).
Neutral-atom scattering factors, no anomalous dispersion.

```
Mg3Hg8
1.0
4.921 2.841 3.525
-4.921 2.841 3.525
0.000 -5.683 3.525
Mg Hg
3 8
direct
0.000 0.500 0.500
0.500 0.000 0.500
0.500 0.500 0.000
0.104 0.881 0.317
0.119 0.683 0.896
0.317 0.104 0.881
0.346 0.346 0.346
0.654 0.654 0.654
0.683 0.896 0.119
0.881 0.317 0.104
0.896 0.119 0.683
```

The 10 most intense peaks (2θ = 10–90°), by angle:
- 22.49°, rel. 20
- 28.97°, rel. 100
- 31.21°, rel. 61
- 32.54°, rel. 79
- 35.55°, rel. 25
- 44.92°, rel. 29
- 48.97°, rel. 38
- 55.37°, rel. 21
- 62.44°, rel. 22
- 65.10°, rel. 21